This entry pairs a crystal structure of BaLaNiRuO6 with its theoretical XRD peak list. Radiation: copper Kα. Structure: a DFT-relaxed cell (PBE+U, Alexandria).

Largest 10 diffraction maxima, in order of rising 2θ, 2θ = 15–90°:
| 2theta | d [Å] | intensity |
| --- | --- | --- |
| 31.38 | 2.851 | 100 |
| 31.70 | 2.822 | 53 |
| 38.82 | 2.320 | 12 |
| 44.48 | 2.037 | 16 |
| 45.45 | 1.996 | 29 |
| 55.65 | 1.652 | 22 |
| 56.27 | 1.635 | 42 |
| 65.48 | 1.425 | 18 |
| 73.70 | 1.285 | 9 |
| 75.29 | 1.262 | 10 |

Structure:
Cell lengths 5.7029, 5.7029, 5.7029 Å; angles 120.68, 120.68, 88.83 degrees
Positions (direct):
Ba1 0.0000 0.0000 0.0000
La1 0.5000 0.5000 0.0000
Ni1 0.7500 0.2500 0.5000
Ru1 0.2500 0.7500 0.5000
O1 0.0067 0.5067 0.5000
O2 0.0718 0.4756 0.0120
O3 0.4636 0.0598 0.9880
O4 0.4933 0.9933 0.5000
O5 0.5244 0.5364 0.5961
O6 0.9402 0.9282 0.4039